Structure and calculated powder diffractogram of RbYTl2F6 (a DFT-relaxed cell (PBE, Alexandria); a wavelength of 1.5418 Å).
No peak broadening, texture or thermal motion is included.

Principal peaks in the range 10° ≤ 2θ ≤ 90°, in order of rising 2θ:
2theta  I_rel
18.63  41
25.56  48
26.30  100
26.67  97
27.27  53
37.72  43
37.89  25
46.27  23
47.39  28
48.05  25

Cell and atoms:
```
data_RbYTl2F6
_cell_length_a 6.5421
_cell_length_b 6.9696
_cell_length_c 11.4343
_cell_angle_alpha 90.00
_cell_angle_beta 123.83
_cell_angle_gamma 90.00
_symmetry_space_group_name_H-M 'P 1'
_symmetry_Int_Tables_number 1
_symmetry_space_group_name_Hall 'P 1'
loop_
_atom_site_label
_atom_site_fract_x
_atom_site_fract_y
_atom_site_fract_z
_atom_site_occupancy
Rb1 0.0000 0.0000 0.0000 1
Rb2 0.0000 0.5000 0.5000 1
Y1 0.5000 0.0000 0.5000 1
Y2 0.5000 0.5000 0.0000 1
Tl1 0.2304 0.0395 0.7404 1
Tl2 0.2304 0.4605 0.2404 1
Tl3 0.7696 0.5395 0.7596 1
Tl4 0.7696 0.9605 0.2596 1
F1 0.1747 0.1562 0.4615 1
F2 0.1747 0.3438 0.9615 1
F3 0.2731 0.7374 0.4250 1
F4 0.2731 0.7626 0.9250 1
F5 0.3978 0.0641 0.2843 1
F6 0.3978 0.4359 0.7843 1
F7 0.6022 0.5641 0.2157 1
F8 0.6022 0.9359 0.7157 1
F9 0.7269 0.2374 0.0750 1
F10 0.7269 0.2626 0.5750 1
F11 0.8253 0.6562 0.0385 1
F12 0.8253 0.8438 0.5385 1
```

Structure and calculated powder diffractogram of Rb5U2F12 (a DFT-relaxed cell (PBE, Alexandria); a wavelength of 1.5418 Å).
No peak broadening, texture or thermal motion is included.

Principal peaks in the range 10° ≤ 2θ ≤ 90°, in order of rising 2θ:
2theta  I_rel
12.73  79
12.97  90
24.82  53
24.95  56
26.11  45
26.84  32
27.12  100
29.06  57
30.67  33
45.39  39

Cell and atoms:
```
data_Rb5U2F12
_cell_length_a 8.1966
_cell_length_b 8.1966
_cell_length_c 6.9160
_cell_angle_alpha 97.92
_cell_angle_beta 97.92
_cell_angle_gamma 61.44
_symmetry_space_group_name_H-M 'P 1'
_symmetry_Int_Tables_number 1
_symmetry_space_group_name_Hall 'P 1'
loop_
_atom_site_label
_atom_site_fract_x
_atom_site_fract_y
_atom_site_fract_z
_atom_site_occupancy
Rb1 0.0000 0.0000 0.0000 1
Rb2 0.2392 0.2392 0.4800 1
Rb3 0.3611 0.3611 0.9838 1
Rb4 0.6389 0.6389 0.0162 1
Rb5 0.7608 0.7608 0.5200 1
U1 0.2523 0.7477 0.5000 1
U2 0.7477 0.2523 0.5000 1
F1 0.0682 0.0682 0.6443 1
F2 0.1058 0.6937 0.7271 1
F3 0.1586 0.5561 0.2990 1
F4 0.3063 0.8942 0.2729 1
F5 0.4439 0.8414 0.7010 1
F6 0.4709 0.4709 0.6725 1
F7 0.5291 0.5291 0.3275 1
F8 0.5561 0.1586 0.2990 1
F9 0.6937 0.1058 0.7271 1
F10 0.8414 0.4439 0.7010 1
F11 0.8942 0.3063 0.2729 1
F12 0.9318 0.9318 0.3557 1
```

Structure and calculated powder diffractogram of RbUF6 (a DFT-relaxed cell (PBE, Alexandria); a wavelength of 1.5418 Å).
No peak broadening, texture or thermal motion is included.

Principal peaks in the range 10° ≤ 2θ ≤ 90°, in order of rising 2θ:
2theta  I_rel
15.63  39
18.07  100
25.66  53
30.19  15
36.61  23
41.11  45
45.24  22
52.74  14
56.21  22
71.97  14

Cell and atoms:
```
data_RbUF6
_cell_length_a 6.9427
_cell_length_b 6.9427
_cell_length_c 6.9427
_cell_angle_alpha 60.00
_cell_angle_beta 60.00
_cell_angle_gamma 60.00
_symmetry_space_group_name_H-M 'P 1'
_symmetry_Int_Tables_number 1
_symmetry_space_group_name_Hall 'P 1'
loop_
_atom_site_label
_atom_site_fract_x
_atom_site_fract_y
_atom_site_fract_z
_atom_site_occupancy
Rb1 0.0000 0.0000 0.0000 1
U1 0.5000 0.5000 0.5000 1
F1 0.2871 0.2871 0.7129 1
F2 0.2871 0.7129 0.2871 1
F3 0.2871 0.7129 0.7129 1
F4 0.7129 0.2871 0.2871 1
F5 0.7129 0.2871 0.7129 1
F6 0.7129 0.7129 0.2871 1
```

Structure and calculated powder diffractogram of RbUF5 (a DFT-relaxed cell (PBE, Alexandria); a wavelength of 1.5418 Å).
No peak broadening, texture or thermal motion is included.

Principal peaks in the range 10° ≤ 2θ ≤ 90°, in order of rising 2θ:
2theta  I_rel
14.38  43
18.12  57
21.38  19
22.41  100
28.97  62
39.37  17
43.44  33
43.66  16
54.88  21
74.20  15

Cell and atoms:
```
data_RbUF5
_cell_length_a 6.7022
_cell_length_b 6.7022
_cell_length_c 6.7022
_cell_angle_alpha 139.94
_cell_angle_beta 107.57
_cell_angle_gamma 86.14
_symmetry_space_group_name_H-M 'P 1'
_symmetry_Int_Tables_number 1
_symmetry_space_group_name_Hall 'P 1'
loop_
_atom_site_label
_atom_site_fract_x
_atom_site_fract_y
_atom_site_fract_z
_atom_site_occupancy
Rb1 0.0000 0.0000 0.0000 1
U1 0.5000 0.5000 0.0000 1
F1 0.2272 0.5000 0.7272 1
F2 0.2831 0.2831 0.0000 1
F3 0.5000 0.0000 0.5000 1
F4 0.7169 0.7169 0.0000 1
F5 0.7728 0.5000 0.2728 1
```